Record 1
This entry pairs a crystal structure of LaMg10Ag2 with its simulated X-ray powder pattern. Radiation: Cu Kα (weighted mean of Kα1 and Kα2). Structure: a PBE-relaxed structure.
Kinematic intensities with the Lorentz-polarization factor, no thermal factor.

Largest 6 diffraction maxima, in order of rising 2θ, 2θ from 10° to 90°:
| Position (°2θ) | d [Å] | I (rel.) |
| --- | --- | --- |
| 12.25 | 7.223 | 100 |
| 24.64 | 3.613 | 39 |
| 27.60 | 3.232 | 31 |
| 35.13 | 2.554 | 48 |
| 35.37 | 2.538 | 45 |
| 36.07 | 2.490 | 71 |

Structural model:
a = 10.2177 Å, b = 7.7695 Å, c = 7.7651 Å
α = 82.26°, β = 48.89°, γ = 48.85°
Sites, in units of the cell vectors:
1 La 0.0000 0.0000 0.0000
2 Mg 0.0000 0.0000 0.5000
3 Mg 0.0120 0.3491 0.6509
4 Mg 0.2855 0.4919 0.5081
5 Mg 0.3491 0.0120 0.9880
6 Mg 0.4919 0.2855 0.7145
7 Mg 0.5000 0.5000 0.0000
8 Mg 0.5081 0.7145 0.2855
9 Mg 0.6509 0.9880 0.0120
10 Mg 0.7145 0.5081 0.4919
11 Mg 0.9880 0.6509 0.3491
12 Ag 0.0000 0.5000 0.0000
13 Ag 0.5000 0.0000 0.5000

---

Record 2
This entry pairs a crystal structure of LaMg9Ag2 with its simulated X-ray powder pattern. Radiation: Cu Kα (weighted mean of Kα1 and Kα2). Structure: a PBE-relaxed structure.
Kinematic intensities with the Lorentz-polarization factor, no thermal factor.

Largest 6 diffraction maxima, in order of rising 2θ, 2θ from 10° to 90°:
| Position (°2θ) | d [Å] | I (rel.) |
| --- | --- | --- |
| 20.22 | 4.392 | 100 |
| 29.26 | 3.052 | 70 |
| 29.77 | 3.001 | 36 |
| 33.28 | 2.692 | 52 |
| 33.38 | 2.684 | 32 |
| 41.10 | 2.196 | 46 |

Structural model:
a = 9.3077 Å, b = 9.3077 Å, c = 9.3077 Å
α = 99.69°, β = 99.69°, γ = 131.55°
Sites, in units of the cell vectors:
1 La 0.3750 0.6250 0.7500
2 La 0.6250 0.3750 0.2500
3 Mg 0.1250 0.8750 0.2500
4 Mg 0.1336 0.5615 0.3281
5 Mg 0.1336 0.8055 0.5721
6 Mg 0.1945 0.2666 0.3281
7 Mg 0.1945 0.8664 0.9279
8 Mg 0.2666 0.1945 0.8281
9 Mg 0.2666 0.4385 0.0721
10 Mg 0.4385 0.2666 0.5721
11 Mg 0.4385 0.8664 0.1719
12 Mg 0.5615 0.1336 0.8281
13 Mg 0.5615 0.7334 0.4279
14 Mg 0.7334 0.5615 0.9279
15 Mg 0.7334 0.8055 0.1719
16 Mg 0.8055 0.1336 0.0721
17 Mg 0.8055 0.7334 0.6719
18 Mg 0.8664 0.1945 0.4279
19 Mg 0.8664 0.4385 0.6719
20 Mg 0.8750 0.1250 0.7500
21 Ag 0.0000 0.0000 0.0000
22 Ag 0.0000 0.0000 0.5000
23 Ag 0.0000 0.5000 0.0000
24 Ag 0.5000 0.0000 0.5000

---

Record 3
This entry pairs a crystal structure of La6Mg2Ag with its simulated X-ray powder pattern. Radiation: Cu Kα (weighted mean of Kα1 and Kα2). Structure: a PBE-relaxed structure.
Kinematic intensities with the Lorentz-polarization factor, no thermal factor.

Largest 6 diffraction maxima, in order of rising 2θ, 2θ from 10° to 90°:
| Position (°2θ) | d [Å] | I (rel.) |
| --- | --- | --- |
| 26.56 | 3.357 | 55 |
| 28.11 | 3.174 | 44 |
| 28.88 | 3.092 | 65 |
| 29.85 | 2.993 | 39 |
| 30.40 | 2.941 | 100 |
| 31.80 | 2.814 | 36 |

Structural model:
a = 6.6369 Å, b = 9.8913 Å, c = 10.3329 Å
α = 90.00°, β = 117.79°, γ = 90.00°
Sites, in units of the cell vectors:
1 La 0.0720 0.0419 0.2023
2 La 0.0720 0.4581 0.7023
3 La 0.1411 0.6978 0.0471
4 La 0.1411 0.8022 0.5471
5 La 0.4108 0.1715 0.0184
6 La 0.4108 0.3285 0.5184
7 La 0.5892 0.6715 0.4816
8 La 0.5892 0.8285 0.9816
9 La 0.8589 0.1978 0.4529
10 La 0.8589 0.3022 0.9529
11 La 0.9280 0.5419 0.2977
12 La 0.9280 0.9581 0.7977
13 Mg 0.3846 0.0849 0.7176
14 Mg 0.3846 0.4151 0.2176
15 Mg 0.6154 0.5849 0.7824
16 Mg 0.6154 0.9151 0.2824
17 Ag 0.5000 0.0000 0.5000
18 Ag 0.5000 0.5000 0.0000

---

Record 4
This entry pairs a crystal structure of LaMg3Ag4 with its simulated X-ray powder pattern. Radiation: Cu Kα (weighted mean of Kα1 and Kα2). Structure: a PBE-relaxed structure.
Kinematic intensities with the Lorentz-polarization factor, no thermal factor.

Largest 6 diffraction maxima, in order of rising 2θ, 2θ from 10° to 90°:
| Position (°2θ) | d [Å] | I (rel.) |
| --- | --- | --- |
| 25.43 | 3.503 | 27 |
| 27.39 | 3.257 | 23 |
| 32.07 | 2.791 | 35 |
| 34.71 | 2.584 | 80 |
| 37.77 | 2.382 | 100 |
| 52.23 | 1.752 | 24 |

Structural model:
a = 9.2584 Å, b = 9.2584 Å, c = 9.2584 Å
α = 29.82°, β = 29.82°, γ = 29.82°
Sites, in units of the cell vectors:
1 La 0.0000 0.0000 0.0000
2 Mg 0.2408 0.2408 0.2408
3 Mg 0.5000 0.5000 0.5000
4 Mg 0.7592 0.7592 0.7592
5 Ag 0.1284 0.1284 0.1284
6 Ag 0.3973 0.3973 0.3973
7 Ag 0.6027 0.6027 0.6027
8 Ag 0.8716 0.8716 0.8716

---

Record 5
This entry pairs a crystal structure of La2MgAg6 with its simulated X-ray powder pattern. Radiation: Cu Kα (weighted mean of Kα1 and Kα2). Structure: a PBE-relaxed structure.
Kinematic intensities with the Lorentz-polarization factor, no thermal factor.

Largest 6 diffraction maxima, in order of rising 2θ, 2θ from 10° to 90°:
| Position (°2θ) | d [Å] | I (rel.) |
| --- | --- | --- |
| 31.86 | 2.809 | 20 |
| 32.38 | 2.765 | 25 |
| 34.43 | 2.605 | 38 |
| 35.86 | 2.504 | 100 |
| 57.76 | 1.596 | 20 |
| 69.89 | 1.346 | 18 |

Structural model:
a = 6.3851 Å, b = 6.3851 Å, c = 5.9069 Å
α = 90.00°, β = 90.00°, γ = 120.00°
Sites, in units of the cell vectors:
1 La 0.3333 0.6667 0.1605
2 La 0.6667 0.3333 0.8395
3 Mg 0.0000 0.0000 0.0000
4 Ag 0.1816 0.3631 0.6729
5 Ag 0.1816 0.8184 0.6729
6 Ag 0.3631 0.1816 0.3271
7 Ag 0.6369 0.8184 0.6729
8 Ag 0.8184 0.1816 0.3271
9 Ag 0.8184 0.6369 0.3271

---

Record 6
This entry pairs a crystal structure of LaPmMgAg with its simulated X-ray powder pattern. Radiation: Cu Kα (weighted mean of Kα1 and Kα2). Structure: a PBE-relaxed structure.
Kinematic intensities with the Lorentz-polarization factor, no thermal factor.

Largest 6 diffraction maxima, in order of rising 2θ, 2θ from 10° to 90°:
| Position (°2θ) | d [Å] | I (rel.) |
| --- | --- | --- |
| 11.73 | 7.542 | 17 |
| 32.69 | 2.739 | 53 |
| 33.15 | 2.702 | 100 |
| 46.90 | 1.937 | 19 |
| 58.64 | 1.574 | 38 |
| 59.52 | 1.553 | 17 |

Structural model:
a = 3.8741 Å, b = 3.8741 Å, c = 7.5421 Å
α = 90.00°, β = 90.00°, γ = 90.00°
Sites, in units of the cell vectors:
1 La 0.0000 0.0000 0.0000
2 Pm 0.0000 0.0000 0.5170
3 Mg 0.5000 0.5000 0.2678
4 Ag 0.5000 0.5000 0.7436

---

Record 7
This entry pairs a crystal structure of La3Mg2Tl4Ag2 with its simulated X-ray powder pattern. Radiation: Cu Kα (weighted mean of Kα1 and Kα2). Structure: a PBE-relaxed structure.
Kinematic intensities with the Lorentz-polarization factor, no thermal factor.

Largest 6 diffraction maxima, in order of rising 2θ, 2θ from 10° to 90°:
| Position (°2θ) | d [Å] | I (rel.) |
| --- | --- | --- |
| 23.97 | 3.713 | 54 |
| 32.71 | 2.738 | 94 |
| 35.54 | 2.526 | 100 |
| 49.07 | 1.857 | 30 |
| 62.04 | 1.496 | 30 |
| 64.67 | 1.441 | 25 |

Structural model:
a = 5.0520 Å, b = 5.0520 Å, c = 14.0415 Å
α = 90.00°, β = 90.00°, γ = 120.00°
Sites, in units of the cell vectors:
1 La 0.0000 0.0000 0.0000
2 La 0.0000 0.0000 0.2604
3 La 0.0000 0.0000 0.7396
4 Mg 0.3333 0.6667 0.5743
5 Mg 0.6667 0.3333 0.4257
6 Tl 0.3333 0.6667 0.3647
7 Tl 0.3333 0.6667 0.8785
8 Tl 0.6667 0.3333 0.1215
9 Tl 0.6667 0.3333 0.6353
10 Ag 0.3333 0.6667 0.1362
11 Ag 0.6667 0.3333 0.8638

---

Record 8
This entry pairs a crystal structure of LaMg2Zn2Ag with its simulated X-ray powder pattern. Radiation: Cu Kα (weighted mean of Kα1 and Kα2). Structure: a PBE-relaxed structure.
Kinematic intensities with the Lorentz-polarization factor, no thermal factor.

Largest 6 diffraction maxima, in order of rising 2θ, 2θ from 10° to 90°:
| Position (°2θ) | d [Å] | I (rel.) |
| --- | --- | --- |
| 24.47 | 3.637 | 100 |
| 29.20 | 3.058 | 31 |
| 31.68 | 2.824 | 38 |
| 34.88 | 2.572 | 68 |
| 40.43 | 2.231 | 43 |
| 47.83 | 1.902 | 46 |

Structural model:
a = 6.7186 Å, b = 6.7186 Å, c = 6.7186 Å
α = 134.98°, β = 134.98°, γ = 65.56°
Sites, in units of the cell vectors:
1 La 0.0000 0.0000 0.0000
2 Mg 0.2500 0.7500 0.5000
3 Mg 0.7500 0.2500 0.5000
4 Zn 0.2778 0.2778 0.0000
5 Zn 0.7222 0.7222 0.0000
6 Ag 0.5000 0.5000 0.0000